[1]
# Cs2NaPrF6
Simulated powder diffractogram, Cu Kα. Input: a GGA-PBE-relaxed structure.
Intensities are scaled so that the largest is 100.

Structure:
```
data_Cs2NaPrF6
_space_group_name_H-M_alt 'P 1'
_space_group_IT_number 1
_cell_length_a 6.6394
_cell_length_b 6.6394
_cell_length_c 6.6394
_cell_angle_alpha 60.00
_cell_angle_beta 60.00
_cell_angle_gamma 60.00
loop_
_space_group_symop_operation_xyz
'x,y,z'
loop_
_atom_site_label
_atom_site_fract_x
_atom_site_fract_y
_atom_site_fract_z
Cs1 0.2500 0.2500 0.2500
Cs2 0.7500 0.7500 0.7500
Na1 0.0000 0.0000 0.0000
Pr1 0.5000 0.5000 0.5000
F1 0.2538 0.2538 0.7462
F2 0.2538 0.7462 0.2538
F3 0.2538 0.7462 0.7462
F4 0.7462 0.2538 0.2538
F5 0.7462 0.2538 0.7462
F6 0.7462 0.7462 0.2538
```

Largest 12 diffraction maxima, sorted by position, 2θ from 5° to 70°:
2theta, I (rel.)
16.35, 21
26.86, 100
31.60, 12
33.05, 12
38.35, 38
41.94, 5
47.43, 42
50.51, 5
55.35, 25
58.12, 5
62.57, 19
69.34, 8



[2]
# KMg6Cu
Simulated powder diffractogram, Cu Kα. Input: a GGA-PBE-relaxed structure.
Intensities are scaled so that the largest is 100.

Structure:
```
data_KMg6Cu
_space_group_name_H-M_alt 'P 1'
_space_group_IT_number 1
_cell_length_a 4.9528
_cell_length_b 7.1575
_cell_length_c 7.1575
_cell_angle_alpha 52.70
_cell_angle_beta 90.00
_cell_angle_gamma 90.00
loop_
_space_group_symop_operation_xyz
'x,y,z'
loop_
_atom_site_label
_atom_site_fract_x
_atom_site_fract_y
_atom_site_fract_z
K1 0.0000 0.0000 0.0000
Mg1 0.0000 0.4515 0.4515
Mg2 0.0000 0.4709 0.9759
Mg3 0.0000 0.9759 0.4709
Mg4 0.5000 0.1134 0.5991
Mg5 0.5000 0.5991 0.1134
Mg6 0.5000 0.6173 0.6173
Cu1 0.5000 0.1862 0.1862
```

Largest 12 diffraction maxima, sorted by position, 2θ from 5° to 70°:
2theta, I (rel.)
13.81, 16
15.56, 34
22.68, 22
31.01, 32
31.42, 24
33.28, 38
36.28, 39
36.40, 100
37.82, 16
48.74, 13
51.55, 14
65.34, 16



[3]
# W
Simulated powder diffractogram, Cu Kα. Input: a GGA-PBE-relaxed structure.
Intensities are scaled so that the largest is 100.

Structure:
```
data_W
_space_group_name_H-M_alt 'P 1'
_space_group_IT_number 1
_cell_length_a 2.8097
_cell_length_b 4.8639
_cell_length_c 4.9237
_cell_angle_alpha 90.00
_cell_angle_beta 90.00
_cell_angle_gamma 90.00
loop_
_space_group_symop_operation_xyz
'x,y,z'
loop_
_atom_site_label
_atom_site_fract_x
_atom_site_fract_y
_atom_site_fract_z
W1 0.2068 0.0632 0.2500
W2 0.2068 0.4368 0.7500
W3 0.7932 0.5632 0.2500
W4 0.7932 0.9368 0.7500
```

Largest 12 diffraction maxima, sorted by position, 2θ from 5° to 70°:
2theta, I (rel.)
31.85, 3
36.50, 34
36.96, 25
41.40, 100
49.21, 2
49.57, 1
52.92, 18
53.17, 2
63.11, 1
66.59, 14
69.03, 22
69.63, 3



[4]
# Rb2SnBr6
Simulated powder diffractogram, Cu Kα. Input: a GGA-PBE-relaxed structure.
Intensities are scaled so that the largest is 100.

Structure:
```
data_Rb2SnBr6
_space_group_name_H-M_alt 'P 1'
_space_group_IT_number 1
_cell_length_a 7.7811
_cell_length_b 7.7811
_cell_length_c 7.7811
_cell_angle_alpha 60.00
_cell_angle_beta 60.00
_cell_angle_gamma 60.00
loop_
_space_group_symop_operation_xyz
'x,y,z'
loop_
_atom_site_label
_atom_site_fract_x
_atom_site_fract_y
_atom_site_fract_z
Rb1 0.2500 0.2500 0.2500
Rb2 0.7500 0.7500 0.7500
Sn1 0.0000 0.0000 0.0000
Br1 0.2411 0.2411 0.7589
Br2 0.2411 0.7589 0.2411
Br3 0.2411 0.7589 0.7589
Br4 0.7589 0.2411 0.2411
Br5 0.7589 0.2411 0.7589
Br6 0.7589 0.7589 0.2411
```

Largest 12 diffraction maxima, sorted by position, 2θ from 5° to 70°:
2theta, I (rel.)
13.94, 36
16.11, 12
22.86, 14
26.87, 13
28.09, 95
32.55, 100
42.70, 11
46.69, 71
48.97, 9
55.38, 39
58.07, 24
68.18, 11



[5]
# RbSb2PO8
Simulated powder diffractogram, Cu Kα. Input: a GGA-PBE-relaxed structure.
Intensities are scaled so that the largest is 100.

Structure:
```
data_RbSb2PO8
_space_group_name_H-M_alt 'P 1'
_space_group_IT_number 1
_cell_length_a 7.3004
_cell_length_b 7.3004
_cell_length_c 15.2659
_cell_angle_alpha 95.72
_cell_angle_beta 95.72
_cell_angle_gamma 59.36
loop_
_space_group_symop_operation_xyz
'x,y,z'
loop_
_atom_site_label
_atom_site_fract_x
_atom_site_fract_y
_atom_site_fract_z
Rb1 0.1196 0.8804 0.5000
Rb2 0.1791 0.9377 0.7735
Rb3 0.8804 0.1196 0.0000
Rb4 0.9377 0.1791 0.2735
Sb1 0.1518 0.4065 0.6317
Sb2 0.2182 0.4829 0.9484
Sb3 0.4065 0.1518 0.1317
Sb4 0.4829 0.2182 0.4484
Sb5 0.5726 0.8356 0.3216
Sb6 0.6492 0.9037 0.6385
Sb7 0.8356 0.5726 0.8216
Sb8 0.9037 0.6492 0.1385
P1 0.3156 0.5387 0.2788
P2 0.5156 0.7404 0.9911
P3 0.5387 0.3156 0.7788
P4 0.7404 0.5156 0.4911
O1 0.0106 0.3698 0.7267
O2 0.0235 0.6948 0.8586
O3 0.0278 0.3624 0.9123
O4 0.0494 0.6832 0.0450
O5 0.0906 0.3344 0.1326
O6 0.0989 0.6983 0.2331
O7 0.2780 0.4379 0.5287
O8 0.2788 0.4333 0.3533
O9 0.3344 0.0906 0.6326
O10 0.3566 0.9544 0.0387
O11 0.3624 0.0278 0.4123
O12 0.3679 0.4647 0.7103
O13 0.3698 0.0106 0.2267
O14 0.3783 0.6467 0.9492
O15 0.4129 0.6728 0.3215
O16 0.4333 0.2788 0.8533
O17 0.4379 0.2780 0.0287
O18 0.4647 0.3679 0.2103
O19 0.5886 0.6919 0.5575
O20 0.6183 0.7698 0.7386
O21 0.6186 0.7806 0.9164
O22 0.6467 0.3783 0.4492
O23 0.6728 0.4129 0.8215
O24 0.6832 0.0494 0.5450
O25 0.6919 0.5886 0.0575
O26 0.6948 0.0235 0.3586
O27 0.6983 0.0989 0.7331
O28 0.7217 0.9653 0.1382
O29 0.7698 0.6183 0.2386
O30 0.7806 0.6186 0.4164
O31 0.9544 0.3566 0.5387
O32 0.9653 0.7217 0.6382
```

Largest 12 diffraction maxima, sorted by position, 2θ from 5° to 70°:
2theta, I (rel.)
14.06, 51
19.32, 31
24.51, 29
24.63, 21
26.00, 60
28.25, 31
28.77, 69
30.40, 100
46.15, 19
49.77, 23
49.99, 18
62.12, 18



[6]
# EuAg5
Simulated powder diffractogram, Cu Kα. Input: a GGA-PBE-relaxed structure.
Intensities are scaled so that the largest is 100.

Structure:
```
data_EuAg5
_space_group_name_H-M_alt 'P 1'
_space_group_IT_number 1
_cell_length_a 5.7271
_cell_length_b 5.7271
_cell_length_c 4.6967
_cell_angle_alpha 90.00
_cell_angle_beta 90.00
_cell_angle_gamma 120.00
loop_
_space_group_symop_operation_xyz
'x,y,z'
loop_
_atom_site_label
_atom_site_fract_x
_atom_site_fract_y
_atom_site_fract_z
Eu1 0.0000 0.0000 0.0000
Ag1 0.0000 0.5000 0.5000
Ag2 0.3333 0.6667 0.0000
Ag3 0.5000 0.0000 0.5000
Ag4 0.5000 0.5000 0.5000
Ag5 0.6667 0.3333 0.0000
```

Largest 12 diffraction maxima, sorted by position, 2θ from 5° to 70°:
2theta, I (rel.)
17.88, 7
26.13, 24
31.24, 23
36.22, 31
36.76, 100
38.33, 32
41.16, 26
50.25, 12
53.76, 19
59.25, 24
65.15, 19
68.28, 15